No. 1
Structure and theoretical powder X-ray diffraction pattern of Ce2Nd3Bi3 (DFT lattice parameters and positions (PBE); a wavelength of 1.5418 Å).

The 10 most intense peaks (2θ = 5–70°), in order of rising 2θ:
two_theta	Rel. int.
27.5	26
28.6	21
31.8	100
32.5	62
33.4	79
41.8	23
47.3	19
51.4	26
63.1	19
67.0	16

Structure:
Cell: 9.5399 9.5399 6.4881 Å, 90.00 90.00 120.00°
Sites, in units of the cell vectors:
Ce: 0.3333 0.6667 0.0000
Ce: 0.3333 0.6667 0.5000
Ce: 0.6667 0.3333 0.0000
Ce: 0.6667 0.3333 0.5000
Nd: 0.0000 0.2508 0.2500
Nd: 0.0000 0.7492 0.7500
Nd: 0.2508 0.0000 0.2500
Nd: 0.2508 0.2508 0.7500
Nd: 0.7492 0.0000 0.7500
Nd: 0.7492 0.7492 0.2500
Bi: 0.0000 0.3860 0.7500
Bi: 0.0000 0.6140 0.2500
Bi: 0.3860 0.0000 0.7500
Bi: 0.3860 0.3860 0.2500
Bi: 0.6140 0.0000 0.2500
Bi: 0.6140 0.6140 0.7500

---

No. 2
Structure and theoretical powder X-ray diffraction pattern of CePrNd2Bi5 (DFT lattice parameters and positions (PBE); a wavelength of 1.5418 Å).

The 10 most intense peaks (2θ = 5–70°), in order of rising 2θ:
two_theta	Rel. int.
7.3	31
22.5	57
23.7	56
26.9	45
29.4	57
31.6	40
32.0	100
44.0	78
45.9	37
55.5	45

Structure:
Cell: 5.5955 5.5955 12.1346 Å, 90.00 90.00 90.00°
Sites, in units of the cell vectors:
Ce: 0.0000 0.0000 0.0000
Pr: 0.0000 0.0000 0.5000
Nd: 0.5000 0.5000 0.2753
Nd: 0.5000 0.5000 0.7247
Bi: 0.0000 0.0000 0.2447
Bi: 0.0000 0.0000 0.7553
Bi: 0.0000 0.5000 0.5000
Bi: 0.5000 0.0000 0.5000
Bi: 0.5000 0.5000 0.0000

---

No. 3
Structure and theoretical powder X-ray diffraction pattern of Ce3Ni2Bi3 (DFT lattice parameters and positions (PBE); a wavelength of 1.5418 Å).

The 10 most intense peaks (2θ = 5–70°), in order of rising 2θ:
two_theta	Rel. int.
28.7	90
29.2	46
33.0	100
33.8	78
37.0	51
40.8	42
50.6	25
56.0	18
56.2	30
63.6	22

Structure:
Cell: 4.4236 4.8635 9.8301 Å, 102.18 102.98 90.00°
Sites, in units of the cell vectors:
Ce: 0.0000 0.0000 0.0000
Ce: 0.1521 0.6477 0.3038
Ce: 0.8479 0.3523 0.6962
Ni: 0.2577 0.3092 0.5143
Ni: 0.7423 0.6908 0.4857
Bi: 0.3363 0.8577 0.6732
Bi: 0.5000 0.5000 0.0000
Bi: 0.6637 0.1423 0.3268

---

No. 4
Structure and theoretical powder X-ray diffraction pattern of Ce3Ni3Bi4 (DFT lattice parameters and positions (PBE); a wavelength of 1.5418 Å).

The 10 most intense peaks (2θ = 5–70°), in order of rising 2θ:
two_theta	Rel. int.
29.0	60
34.4	100
41.4	17
45.6	24
47.6	21
58.4	18
60.1	14
61.7	12
64.9	9
68.0	9

Structure:
Cell: 8.4385 8.4385 8.4385 Å, 109.47 109.47 109.47°
Sites, in units of the cell vectors:
Ce: 0.1250 0.7500 0.8750
Ce: 0.2500 0.6250 0.3750
Ce: 0.3750 0.2500 0.6250
Ce: 0.6250 0.3750 0.2500
Ce: 0.7500 0.8750 0.1250
Ce: 0.8750 0.1250 0.7500
Ni: 0.1250 0.8750 0.2500
Ni: 0.2500 0.1250 0.8750
Ni: 0.3750 0.6250 0.7500
Ni: 0.6250 0.7500 0.3750
Ni: 0.7500 0.3750 0.6250
Ni: 0.8750 0.2500 0.1250
Bi: 0.0000 0.3369 0.5000
Bi: 0.0000 0.8369 0.5000
Bi: 0.1631 0.1631 0.1631
Bi: 0.3369 0.5000 0.0000
Bi: 0.5000 0.0000 0.3369
Bi: 0.5000 0.0000 0.8369
Bi: 0.6631 0.6631 0.6631
Bi: 0.8369 0.5000 0.0000

---

No. 5
Structure and theoretical powder X-ray diffraction pattern of Ce4Ni4Bi3Sb5 (DFT lattice parameters and positions (PBE); a wavelength of 1.5418 Å).

The 10 most intense peaks (2θ = 5–70°), in order of rising 2θ:
two_theta	Rel. int.
28.0	21
29.9	40
34.1	100
34.6	18
40.5	49
47.7	14
49.9	18
54.3	10
58.6	16
69.5	25

Structure:
Cell: 4.4561 4.4561 19.1488 Å, 90.00 90.00 90.00°
Sites, in units of the cell vectors:
Ce: 0.0000 0.5000 0.1356
Ce: 0.0000 0.5000 0.6398
Ce: 0.5000 0.0000 0.3602
Ce: 0.5000 0.0000 0.8644
Ni: 0.0000 0.0000 0.2485
Ni: 0.0000 0.0000 0.7515
Ni: 0.5000 0.5000 0.2486
Ni: 0.5000 0.5000 0.7514
Bi: 0.0000 0.0000 0.0000
Bi: 0.0000 0.0000 0.5000
Bi: 0.5000 0.5000 0.5000
Sb: 0.0000 0.5000 0.3193
Sb: 0.0000 0.5000 0.8225
Sb: 0.5000 0.0000 0.1775
Sb: 0.5000 0.0000 0.6807
Sb: 0.5000 0.5000 0.0000

---

No. 6
Structure and theoretical powder X-ray diffraction pattern of Ce6NpBi10 (DFT lattice parameters and positions (PBE); a wavelength of 1.5418 Å).

The 10 most intense peaks (2θ = 5–70°), in order of rising 2θ:
two_theta	Rel. int.
31.4	70
32.0	81
33.3	100
46.9	30
49.4	17
51.2	17
57.0	14
57.9	16
63.4	14
66.9	21

Structure:
Cell: 9.6886 9.6886 6.4659 Å, 90.00 90.00 120.00°
Sites, in units of the cell vectors:
Ce: 0.0000 0.3841 0.2484
Ce: 0.0000 0.6159 0.7516
Ce: 0.3841 0.0000 0.2484
Ce: 0.3841 0.3841 0.7516
Ce: 0.6159 0.0000 0.7516
Ce: 0.6159 0.6159 0.2484
Np: 0.0000 0.0000 0.0000
Bi: 0.0000 0.2676 0.7368
Bi: 0.0000 0.7324 0.2632
Bi: 0.2676 0.0000 0.7368
Bi: 0.2676 0.2676 0.2632
Bi: 0.3333 0.6667 0.0000
Bi: 0.3333 0.6667 0.5000
Bi: 0.6667 0.3333 0.0000
Bi: 0.6667 0.3333 0.5000
Bi: 0.7324 0.0000 0.2632
Bi: 0.7324 0.7324 0.7368